Simulated X-ray powder pattern
Compound: NaAg8Sn3
Radiation: Cu Kα X-rays
Structure: a structure optimized by DFT (GGA-PBE)
Peak positions follow from Bragg's law for the DFT cell and can differ from measured ones.

Structure:
a b c (Å): 5.6856 5.6856 9.0019
angles (deg): 90.00 90.00 120.00
Space group P3m1 (No. 156)
Asymmetric unit:
Na 0.0000 0.0000 0.0000 (multiplicity 1)
Ag 0.1637 0.3274 0.6834 (multiplicity 3)
Ag 0.3333 0.6667 0.4319 (multiplicity 1)
Ag 0.3333 0.6667 0.9323 (multiplicity 1)
Ag 0.5034 0.0067 0.1824 (multiplicity 3)
Sn 0.0000 0.0000 0.3847 (multiplicity 1)
Sn 0.6667 0.3333 0.4856 (multiplicity 1)
Sn 0.6667 0.3333 0.8754 (multiplicity 1)

Principal peaks in the range 2θ from 5° to 70°, most intense first:
hkl 1 1 2, 2θ 37.42, I 1000; hkl 0 2 1, 2θ 37.89, I 832; hkl 1 0 3, 2θ 35.02, I 515; hkl 0 2 5, 2θ 64.08, I 293; hkl 2 2 0, 2θ 65.69, I 266; hkl 3 0 2, 2θ 59.99, I 246; hkl 0 0 4, 2θ 40.07, I 235; hkl 2 0 2, 2θ 41.82, I 218; hkl 1 1 0, 2θ 31.47, I 212; hkl 2 1 3, 2θ 58.35, I 209